Record 1
# Tm2Cu2SnRh5
Computed X-ray diffraction stick pattern, CuKα. Input: DFT lattice parameters and positions (GGA-PBE).
No peak broadening, texture or thermal motion is included.

Crystal structure
abc: 9.3237 9.3237 3.8242
angles: 90.00 90.00 90.00
Fractional coordinates of all 20 atoms:
Tm 0.1734 0.3266 0.0000
Tm 0.3266 0.8266 0.0000
Tm 0.6734 0.1734 0.0000
Tm 0.8266 0.6734 0.0000
Cu 0.1227 0.6227 0.0000
Cu 0.3773 0.1227 0.0000
Cu 0.6227 0.8773 0.0000
Cu 0.8773 0.3773 0.0000
Sn 0.0000 0.0000 0.0000
Sn 0.5000 0.5000 0.0000
Rh 0.0000 0.5000 0.5000
Rh 0.0715 0.7925 0.5000
Rh 0.2075 0.0715 0.5000
Rh 0.2925 0.5715 0.5000
Rh 0.4285 0.2925 0.5000
Rh 0.5000 0.0000 0.5000
Rh 0.5715 0.7075 0.5000
Rh 0.7075 0.4285 0.5000
Rh 0.7925 0.9285 0.5000
Rh 0.9285 0.2075 0.5000

Peak list (12 most intense, 15 to 90 degrees two-theta, in order of rising 2θ)
31.75°, intensity 34.7
35.97°, intensity 22.9
38.56°, intensity 100.0
39.87°, intensity 44.0
41.07°, intensity 12.5
42.19°, intensity 29.9
43.40°, intensity 16.9
47.55°, intensity 26.3
63.74°, intensity 21.9
66.33°, intensity 9.6
69.01°, intensity 10.1
82.43°, intensity 11.0



Record 2
# Na2AcCd9
Computed X-ray diffraction stick pattern, CuKα. Input: DFT lattice parameters and positions (GGA-PBE).
No peak broadening, texture or thermal motion is included.

Crystal structure
abc: 10.2829 10.2829 10.2829
angles: 34.22 34.22 34.22
Fractional coordinates of all 12 atoms:
Na 0.1435 0.1435 0.1435
Na 0.8565 0.8565 0.8565
Ac 0.0000 0.0000 0.0000
Cd 0.0784 0.5891 0.5891
Cd 0.3350 0.3350 0.3350
Cd 0.4109 0.4109 0.9216
Cd 0.4109 0.9216 0.4109
Cd 0.5000 0.5000 0.5000
Cd 0.5891 0.0784 0.5891
Cd 0.5891 0.5891 0.0784
Cd 0.6650 0.6650 0.6650
Cd 0.9216 0.4109 0.4109

Peak list (12 most intense, 15 to 90 degrees two-theta, in order of rising 2θ)
20.91°, intensity 25.7
29.53°, intensity 17.1
29.96°, intensity 15.8
30.97°, intensity 18.2
34.37°, intensity 28.7
34.80°, intensity 21.8
34.99°, intensity 100.0
37.19°, intensity 31.6
37.67°, intensity 23.5
55.97°, intensity 25.2
61.28°, intensity 23.3
73.91°, intensity 23.9



Record 3
# BeCdBIrAu
Computed X-ray diffraction stick pattern, CuKα. Input: DFT lattice parameters and positions (GGA-PBE).
No peak broadening, texture or thermal motion is included.

Crystal structure
abc: 7.6400 7.6400 7.6400
angles: 25.65 25.65 25.65
Fractional coordinates of all 5 atoms:
Be 0.0000 0.0000 0.0000
Cd 0.8366 0.8366 0.8366
B 0.3013 0.3013 0.3013
Ir 0.6022 0.6022 0.6022
Au 0.4059 0.4059 0.4059

Peak list (12 most intense, 15 to 90 degrees two-theta, in order of rising 2θ)
24.10°, intensity 19.3
30.71°, intensity 55.8
31.51°, intensity 12.7
34.57°, intensity 74.7
36.50°, intensity 26.2
36.71°, intensity 100.0
41.97°, intensity 19.2
51.68°, intensity 23.7
54.08°, intensity 41.9
55.31°, intensity 12.9
67.02°, intensity 26.5
67.17°, intensity 27.0



Record 4
# NaAs12Rh4
Computed X-ray diffraction stick pattern, CuKα. Input: DFT lattice parameters and positions (GGA-PBE).
No peak broadening, texture or thermal motion is included.

Crystal structure
abc: 7.4724 7.4724 7.4724
angles: 109.47 109.47 109.47
Fractional coordinates of all 17 atoms:
Na 0.0000 0.0000 0.0000
As 0.1472 0.3487 0.4958
As 0.1472 0.6513 0.7985
As 0.2015 0.8528 0.3487
As 0.3487 0.2015 0.8528
As 0.3487 0.4958 0.1472
As 0.4958 0.1472 0.3487
As 0.5042 0.8528 0.6513
As 0.6513 0.5042 0.8528
As 0.6513 0.7985 0.1472
As 0.7985 0.1472 0.6513
As 0.8528 0.3487 0.2015
As 0.8528 0.6513 0.5042
Rh 0.0000 0.0000 0.5000
Rh 0.0000 0.5000 0.0000
Rh 0.5000 0.0000 0.0000
Rh 0.5000 0.5000 0.5000

Peak list (12 most intense, 15 to 90 degrees two-theta, in order of rising 2θ)
20.59°, intensity 23.6
29.28°, intensity 21.6
32.82°, intensity 100.0
39.06°, intensity 28.7
47.10°, intensity 60.9
51.92°, intensity 39.9
54.20°, intensity 37.7
68.82°, intensity 11.7
74.60°, intensity 12.0
76.49°, intensity 12.0
80.23°, intensity 10.4
85.76°, intensity 10.4